Record 1
Computed powder X-ray diffraction pattern
Compound: GaNi8Pt6
Radiation: λ = 1.5418 Å (Cu Kα)
Structure: a crystal structure in Alexandria, relaxed with GGA-PBE
Kinematic intensities with the Lorentz-polarization factor, no thermal factor.

The 10 most intense peaks (5 to 70 degrees two-theta), by angle:
d (Å)  2θ (°)  Rel. int.
4.141  21.5  25
3.184  28.0  37
2.928  30.5  18
2.185  41.3  6
2.167  41.7  100
2.161  41.8  98
1.898  47.9  33
1.881  48.4  32
1.845  49.4  30
1.583  58.3  6

Cell and atoms:
a = 4.6255 Å, b = 6.9662 Å, c = 6.9958 Å
α = 95.25°, β = 108.43°, γ = 108.87°
Fractional positions:
Ga 0.0000 0.0000 0.0000
Ni 0.0611 0.4683 0.3317
Ni 0.2748 0.8628 0.3348
Ni 0.3320 0.3329 0.6663
Ni 0.3943 0.8008 0.0005
Ni 0.6057 0.1992 0.9995
Ni 0.6680 0.6671 0.3337
Ni 0.7252 0.1372 0.6652
Ni 0.9389 0.5317 0.6683
Pt 0.1396 0.9402 0.6730
Pt 0.1935 0.3942 0.9929
Pt 0.4791 0.2766 0.3425
Pt 0.5209 0.7234 0.6575
Pt 0.8065 0.6058 0.0071
Pt 0.8604 0.0598 0.3270

Record 2
Computed powder X-ray diffraction pattern
Compound: CeDyCdIn
Radiation: λ = 1.5418 Å (Cu Kα)
Structure: a crystal structure in Alexandria, relaxed with GGA-PBE
Kinematic intensities with the Lorentz-polarization factor, no thermal factor.

The 7 most intense peaks (5 to 70 degrees two-theta), by angle:
d (Å)  2θ (°)  Rel. int.
3.804  23.4  2
2.690  33.3  100
2.196  41.1  1
1.902  47.8  18
1.701  53.9  1
1.553  59.5  37
1.345  70.0  11

Cell and atoms:
a = 7.6072 Å, b = 7.6072 Å, c = 7.6072 Å
α = 90.00°, β = 90.00°, γ = 90.00°
Fractional positions:
Ce 0.0000 0.0000 0.0000
Ce 0.0000 0.5000 0.5000
Ce 0.5000 0.0000 0.5000
Ce 0.5000 0.5000 0.0000
Dy 0.0000 0.0000 0.5000
Dy 0.0000 0.5000 0.0000
Dy 0.5000 0.0000 0.0000
Dy 0.5000 0.5000 0.5000
Cd 0.2500 0.2500 0.7500
Cd 0.2500 0.7500 0.2500
Cd 0.7500 0.2500 0.2500
Cd 0.7500 0.7500 0.7500
In 0.2500 0.2500 0.2500
In 0.2500 0.7500 0.7500
In 0.7500 0.2500 0.7500
In 0.7500 0.7500 0.2500

Record 3
Computed powder X-ray diffraction pattern
Compound: LaHo2TmSe6
Radiation: λ = 1.5418 Å (Cu Kα)
Structure: a crystal structure in Alexandria, relaxed with GGA-PBE
Kinematic intensities with the Lorentz-polarization factor, no thermal factor.

The 10 most intense peaks (5 to 70 degrees two-theta), by angle:
d (Å)  2θ (°)  Rel. int.
5.288  16.8  44
3.847  23.1  62
3.640  24.5  44
3.173  28.1  61
2.644  33.9  43
2.419  37.2  100
2.139  42.3  38
2.101  43.0  65
1.856  49.1  33
1.586  58.2  25

Cell and atoms:
a = 7.7184 Å, b = 7.7184 Å, c = 7.7184 Å
α = 56.27°, β = 56.27°, γ = 56.27°
Fractional positions:
La 0.0000 0.0000 0.0000
Ho 0.2933 0.2933 0.2933
Ho 0.7987 0.7987 0.7987
Tm 0.4909 0.4909 0.4909
Se 0.0847 0.6726 0.4213
Se 0.2021 0.5824 0.8920
Se 0.4213 0.0847 0.6726
Se 0.5824 0.8920 0.2021
Se 0.6726 0.4213 0.0847
Se 0.8920 0.2021 0.5824

Record 4
Computed powder X-ray diffraction pattern
Compound: NaHgBi2Au
Radiation: λ = 1.5418 Å (Cu Kα)
Structure: a crystal structure in Alexandria, relaxed with GGA-PBE
Kinematic intensities with the Lorentz-polarization factor, no thermal factor.

The 10 most intense peaks (5 to 70 degrees two-theta), by angle:
d (Å)  2θ (°)  Rel. int.
6.465  13.7  22
4.662  19.0  23
4.521  19.6  39
3.707  24.0  52
2.675  33.5  100
2.595  34.6  100
2.455  36.6  47
2.262  39.9  41
2.073  43.7  26
1.664  55.2  29

Cell and atoms:
a = 4.9151 Å, b = 4.5244 Å, c = 6.8160 Å
α = 90.00°, β = 108.46°, γ = 90.00°
Fractional positions:
Na 0.0000 0.0000 0.0000
Hg 0.4952 0.5000 0.9924
Bi 0.2438 0.0000 0.5409
Bi 0.8128 0.5000 0.5966
Au 0.6230 0.0000 0.2752